No. 1
Theoretical X-ray powder pattern of ZrS4Br4Cl2 for CuKα, from a structure optimized by DFT (PBE).

The 12 most intense peaks (2θ = 5–70°), by angle:
2θ (°)	Rel. int.	(hkl)
14.7	39	1 1 1
16.0	50	0 1 1
16.3	56	1 0 1
21.6	29	1 0 -1
22.4	74	1 1 2
26.8	27	1 2 0
27.4	34	1 2 2
27.8	30	2 1 2
34.6	100	2 0 -1
34.8	38	-1 1 2
36.1	27	2 1 3
51.5	24	2 2 -2

Structure:
```
ZrS4Br4Cl2
1.0
7.363 0.000 0.000
3.562 6.564 0.000
3.392 2.127 6.951
Zr S Br Cl
1 4 4 2
direct
0.000 0.000 0.000
0.278 0.607 0.496
0.441 0.336 0.671
0.559 0.664 0.329
0.722 0.393 0.504
0.041 0.593 0.195
0.383 0.864 0.777
0.617 0.136 0.223
0.959 0.407 0.805
0.160 0.012 0.214
0.840 0.988 0.786
```

=====

No. 2
Theoretical X-ray powder pattern of Tb2Se2BrCl for CuKα, from a structure optimized by DFT (PBE).

The 12 most intense peaks (2θ = 5–70°), by angle:
2θ (°)	Rel. int.	(hkl)
10.3	100	0 0 1
18.7	48	0 1 1
23.9	26	1 0 1
30.0	83	1 0 2
31.5	39	0 2 0
40.0	14	1 2 1
41.5	23	1 1 3
42.0	13	0 0 4
44.0	15	2 0 0
44.1	57	1 2 2
53.5	13	0 2 4
55.1	16	2 2 0

Structure:
```
Tb2Se2BrCl
1.0
4.120 0.000 0.000
0.000 5.673 0.000
0.000 0.000 8.605
Tb Se Br Cl
2 2 1 1
direct
0.000 0.000 0.000
0.500 0.500 0.278
0.000 0.500 0.043
0.500 0.000 0.237
0.000 0.500 0.505
0.500 0.000 0.799
```

=====

No. 3
Theoretical X-ray powder pattern of ZrSe4Br4Cl2 for CuKα, from a structure optimized by DFT (PBE).

The 12 most intense peaks (2θ = 5–70°), by angle:
2θ (°)	Rel. int.	(hkl)
15.3	52	1 1 0
16.3	100	0 1 1
21.6	33	1 0 -1
21.9	51	1 1 2
27.3	51	1 2 2
32.4	43	0 2 -1
32.8	25	1 2 -1
34.6	51	2 0 -1
35.3	21	1 -2 0
35.8	26	1 2 3
36.6	24	3 2 1
49.4	28	3 4 2

Structure:
```
ZrSe4Br4Cl2
1.0
7.682 0.000 0.000
3.776 6.715 0.000
3.736 1.578 7.132
Zr Se Br Cl
1 4 4 2
direct
0.000 0.000 0.000
0.255 0.620 0.494
0.431 0.322 0.680
0.569 0.678 0.320
0.745 0.380 0.506
0.051 0.612 0.182
0.158 0.037 0.213
0.842 0.963 0.787
0.949 0.388 0.818
0.356 0.874 0.781
0.644 0.126 0.219
```

=====

No. 4
Theoretical X-ray powder pattern of Zr2Se2BrCl for CuKα, from a structure optimized by DFT (PBE).

The 12 most intense peaks (2θ = 5–70°), by angle:
2θ (°)	Rel. int.	(hkl)
10.8	100	0 0 1
19.9	12	0 1 1
26.3	14	1 0 1
31.3	13	1 1 1
32.5	80	1 0 2
33.7	40	0 2 0
35.5	12	0 2 1
36.8	13	1 1 2
44.2	12	0 0 4
47.5	63	1 2 2
49.0	14	2 0 0
60.8	14	2 2 0

Structure:
```
Zr2Se2BrCl
1.0
3.719 0.000 0.000
0.000 5.320 0.000
0.000 0.000 8.194
Zr Se Br Cl
2 2 1 1
direct
0.000 0.000 0.000
0.500 0.500 0.202
0.000 0.500 0.956
0.500 0.000 0.244
0.000 0.500 0.449
0.500 0.000 0.776
```

=====

No. 5
Theoretical X-ray powder pattern of TmTe2BrCl for CuKα, from a structure optimized by DFT (PBE).

The 12 most intense peaks (2θ = 5–70°), by angle:
2θ (°)	Rel. int.	(hkl)
12.1	100	0 0 1
13.8	17	1 0 0
14.3	43	1 -1 0
24.2	15	1 1 0
25.1	38	0 2 -1
26.9	28	1 -2 2
31.4	31	1 1 1
32.7	24	2 0 -2
33.0	29	2 0 1
34.1	26	-2 2 1
35.1	12	1 -2 3
41.2	11	2 0 -3

Structure:
```
TmTe2BrCl
1.0
7.279 0.000 0.000
-3.370 7.101 0.000
-0.050 -3.908 7.306
Tm Te Br Cl
2 4 2 2
direct
0.168 0.344 0.001
0.832 0.656 0.999
0.078 0.163 0.299
0.290 0.025 0.059
0.710 0.975 0.941
0.922 0.837 0.701
0.447 0.339 0.758
0.553 0.661 0.242
0.027 0.601 0.226
0.973 0.399 0.774
```

=====

No. 6
Theoretical X-ray powder pattern of ZnBrCl for CuKα, from a structure optimized by DFT (PBE).

The 12 most intense peaks (2θ = 5–70°), by angle:
2θ (°)	Rel. int.	(hkl)
15.0	60	0 0 2
23.3	11	1 0 0
24.5	50	1 0 1
27.8	100	1 0 2
32.6	24	1 0 3
36.5	23	1 1 2
45.4	62	1 1 4
47.5	27	2 0 0
50.1	11	2 0 2
52.2	15	1 0 6
54.2	11	2 1 1
55.9	25	2 1 2

Structure:
```
ZnBrCl
1.0
3.826 0.000 0.000
0.000 3.826 0.000
0.000 0.000 11.830
Zn Br Cl
2 2 2
direct
0.000 0.500 0.000
0.500 0.000 0.500
0.000 0.000 0.373
0.000 0.000 0.873
0.500 0.500 0.111
0.500 0.500 0.611
```

=====

No. 7
Theoretical X-ray powder pattern of ZnBrCl for CuKα, from a structure optimized by DFT (PBE).

The 12 most intense peaks (2θ = 5–70°), by angle:
2θ (°)	Rel. int.	(hkl)
7.5	24	0 0 1
15.0	44	0 0 2
24.5	62	1 0 1
27.8	100	1 0 2
32.6	26	1 0 3
36.6	16	1 1 2
45.1	15	1 0 5
45.5	62	1 1 4
47.6	28	2 0 0
52.2	14	1 0 6
54.2	15	2 1 1
56.0	25	2 1 2

Structure:
```
ZnBrCl
1.0
3.823 0.000 0.000
0.000 3.823 0.000
0.000 0.000 11.830
Zn Br Cl
2 2 2
direct
0.000 0.000 0.000
0.500 0.500 0.500
0.000 0.500 0.628
0.500 0.000 0.372
0.000 0.500 0.110
0.500 0.000 0.890
```

=====

No. 8
Theoretical X-ray powder pattern of ZrBr2Cl2 for CuKα, from a structure optimized by DFT (PBE).

The 12 most intense peaks (2θ = 5–70°), by angle:
2θ (°)	Rel. int.	(hkl)
11.5	92	0 1 0
13.9	56	1 0 0
18.1	16	1 1 0
18.3	38	0 1 1
25.9	34	1 1 1
28.0	16	2 0 0
28.3	37	1 2 -1
32.8	54	2 0 -2
32.9	100	1 2 1
46.7	34	3 2 -1
47.2	31	2 0 2
47.5	32	1 2 -3

Structure:
```
ZrBr2Cl2
1.0
6.763 0.000 0.000
0.000 7.709 0.000
-2.233 0.000 6.227
Zr Br Cl
2 4 4
direct
0.000 0.169 0.250
0.000 0.831 0.750
0.232 0.113 0.000
0.232 0.887 0.500
0.768 0.113 0.500
0.768 0.887 0.000
0.246 0.362 0.473
0.246 0.638 0.973
0.754 0.362 0.027
0.754 0.638 0.527
```